# 1
Calculated powder diffractogram of ThNpO6 for Cu Kα (weighted mean of Kα1 and Kα2), from a DFT-relaxed cell (PBE, Alexandria).

Top 12 peaks for 2θ from 10° to 90°, sorted by position:
index	Position (°2θ)	d/Å	I_rel
0 1 2	20.77	4.277	100
1 0 4	29.54	3.024	62
2 0 2	36.42	2.467	13
0 2 4	42.26	2.139	20
2 -1 6	47.48	1.915	23
3 -2 2	47.59	1.911	23
0 1 8	52.27	1.750	7
3 -1 4	52.44	1.745	20
2 0 8	61.21	1.514	6
0 3 6	65.51	1.425	17
0 4 2	73.47	1.289	6
1 4 0	84.94	1.142	7

Crystal structure
a b c (Å): 6.0405 6.0405 14.8573
angles (deg): 90.00 90.00 120.00
Space group R-3 (No. 148, hexagonal axes)
Symmetry-distinct sites (fractional):
Th (0.0000, 0.0000, 0.0000) (multiplicity 3)
Np (0.0000, 0.0000, 0.5000) (multiplicity 3)
O (0.0227, 0.4995, 0.2442) (multiplicity 18)

# 2
Calculated powder diffractogram of K2In2Fe for Cu Kα (weighted mean of Kα1 and Kα2), from a DFT-relaxed cell (PBE, Alexandria).

Top 12 peaks for 2θ from 10° to 90°, sorted by position:
index	Position (°2θ)	d/Å	I_rel
1 1 0	11.73	7.545	79
2 1 0	18.59	4.772	34
2 2 0	23.58	3.772	28
3 1 0	26.42	3.374	46
3 2 0	30.20	2.959	94
1 1 1	31.43	2.846	62
2 1 1	34.71	2.585	100
3 2 1	42.40	2.132	50
5 1 0	43.24	2.093	30
4 0 1	45.00	2.014	37
4 4 0	48.27	1.885	19
4 3 1	52.17	1.753	27

Crystal structure
a b c (Å): 10.670 10.670 3.073
angles (deg): 90.00 90.00 90.00
Space group P4/mbm (No. 127)
Symmetry-distinct sites (fractional):
K (0.196, 0.304, 0.000) (multiplicity 4)
In (0.100, 0.600, 0.500) (multiplicity 4)
Fe (0.000, 0.000, 0.000) (multiplicity 2)